# AcMn2IrO8
Simulated powder XRD pattern, λ = 1.5418 Å (Cu Kα). Input: a GGA+U-relaxed structure.
Intensities are scaled so that the largest is 100.

Crystal structure
Cell lengths 4.932, 4.947, 7.346 Å; angles 88.81, 88.66, 74.90 degrees
Space group P-1 (No. 2)
Unique sites:
Ac 0.000 0.000 0.000 [1 per cell]
Mn 0.392 0.392 0.289 [2 per cell]
Ir 0.000 0.000 0.500 [1 per cell]
O 0.210 0.770 0.299 [2 per cell]
O 0.229 0.788 0.701 [2 per cell]
O 0.246 0.243 0.478 [2 per cell]
O 0.315 0.311 0.069 [2 per cell]

Most intense lines, 15 to 90 degrees two-theta, by angle:
2θ = 18.6°, I = 100, hkl 0 1 0; 2θ = 22.7°, I = 61, hkl 1 1 0; 2θ = 24.2°, I = 25, hkl 0 0 2; 2θ = 29.7°, I = 45, hkl 1 -1 0; 2θ = 30.5°, I = 71, hkl 0 1 2; 2θ = 31.0°, I = 59, hkl 0 1 -2; 2θ = 37.5°, I = 43, hkl 2 1 0; 2θ = 38.7°, I = 27, hkl -1 1 2; 2θ = 44.6°, I = 19, hkl 1 2 2; 2θ = 53.3°, I = 18, hkl -1 2 2